EuZr2SnO6: computed powder diffraction line list (copper Kα), based on a GGA-PBE-relaxed structure.
Kinematic intensities with the Lorentz-polarization factor, no thermal factor.

Unit cell a=5.810 b=5.810 c=4.232 alpha=90.00 beta=90.00 gamma=90.64
Fractional coordinates of all 10 atoms:
Eu1 0.000 0.000 0.000
Zr1 0.000 0.500 0.500
Zr2 0.500 0.000 0.500
Sn1 0.500 0.500 0.000
O1 0.000 0.500 0.000
O2 0.182 0.818 0.500
O3 0.312 0.312 0.500
O4 0.500 0.000 0.000
O5 0.688 0.688 0.500
O6 0.818 0.182 0.500

The 8 most intense peaks (2θ = 10–90°), by intensity:
Position (°2θ)  d [Å]  I_rel
30.78  2.905  100
30.23  2.956  89
30.41  2.939  89
53.58  1.710  42
54.28  1.690  42
54.62  1.680  40
42.73  2.116  31
43.83  2.065  25